[1]
# Ac2TmBr
Theoretical XRD peak list, Cu Kα X-rays. Input: a PBE-relaxed structure.
Lines closer than 0.1° are merged.

Top 10 peaks for 2θ = 10–80°, sorted by position:
d_spacing	2θ/deg	I/Imax
3.140	28.42	100.0
2.800	31.96	22.3
2.636	34.01	60.5
1.955	46.45	28.1
1.785	51.19	16.6
1.659	55.36	15.9
1.603	57.50	25.8
1.570	58.81	12.8
1.265	75.09	13.1
1.224	78.07	11.9

Structure:
Cell lengths 3.909, 3.909, 33.602 Å; angles 90.00, 90.00, 120.00 degrees
Element x y z (fractional)
1 Ac 0.000 0.000 0.244
2 Ac 0.000 0.000 0.756
3 Ac 0.333 0.667 0.422
4 Ac 0.333 0.667 0.911
5 Ac 0.667 0.333 0.089
6 Ac 0.667 0.333 0.578
7 Tm 0.000 0.000 0.000
8 Tm 0.333 0.667 0.667
9 Tm 0.667 0.333 0.333
10 Br 0.000 0.000 0.500
11 Br 0.333 0.667 0.167
12 Br 0.667 0.333 0.833


[2]
# Nd5Bi4Br
Theoretical XRD peak list, Cu Kα X-rays. Input: a PBE-relaxed structure.
Lines closer than 0.1° are merged.

Top 10 peaks for 2θ = 10–80°, sorted by position:
d_spacing	2θ/deg	I/Imax
3.231	27.61	100.0
2.301	39.15	13.3
2.284	39.46	52.1
2.270	39.70	12.7
1.874	48.59	14.5
1.857	49.06	14.0
1.615	57.01	13.5
1.444	64.51	24.9
1.325	71.15	9.4
1.313	71.88	9.1

Structure:
Cell lengths 12.024, 12.024, 12.024 Å; angles 157.93, 148.86, 38.49 degrees
Element x y z (fractional)
1 Nd 0.000 0.000 0.000
2 Nd 0.200 0.200 0.000
3 Nd 0.397 0.397 0.000
4 Nd 0.603 0.603 0.000
5 Nd 0.800 0.800 0.000
6 Bi 0.099 0.599 0.500
7 Bi 0.301 0.801 0.500
8 Bi 0.699 0.199 0.500
9 Bi 0.901 0.401 0.500
10 Br 0.500 0.000 0.500


[3]
# Nd6Mg5Zn
Theoretical XRD peak list, Cu Kα X-rays. Input: a PBE-relaxed structure.
Lines closer than 0.1° are merged.

Top 10 peaks for 2θ = 10–80°, sorted by position:
d_spacing	2θ/deg	I/Imax
3.871	22.97	23.9
3.843	23.14	47.2
2.727	32.84	100.0
2.717	32.96	49.6
2.224	40.56	21.6
1.922	47.31	17.8
1.721	53.24	14.6
1.576	58.55	18.3
1.571	58.78	36.5
1.364	68.85	11.1

Structure:
Cell lengths 5.431, 7.742, 8.596 Å; angles 90.00, 108.37, 90.00 degrees
Element x y z (fractional)
1 Nd 0.000 0.239 0.000
2 Nd 0.000 0.761 0.000
3 Nd 0.338 0.245 0.676
4 Nd 0.338 0.755 0.676
5 Nd 0.662 0.245 0.324
6 Nd 0.662 0.755 0.324
7 Mg 0.168 0.500 0.336
8 Mg 0.172 0.000 0.344
9 Mg 0.500 0.500 0.000
10 Mg 0.828 0.000 0.656
11 Mg 0.832 0.500 0.664
12 Zn 0.500 0.000 0.000